Starting from the PBE geometry in Alexandria, the powder X-ray diffraction pattern of Ti2CuP2O10 was simulated for copper Kα.
No peak broadening, texture or thermal motion is included.

Largest 10 diffraction maxima, in order of rising 2θ, 15 to 90 degrees two-theta:
2θ (°)  d/Å  Rel. int.
17.8  4.993  27
18.1  4.894  42
26.5  3.369  43
26.6  3.345  100
26.8  3.326  77
27.4  3.258  25
28.7  3.115  20
33.2  2.699  27
42.2  2.140  25
55.2  1.663  26

Structural model:
Cell: 7.1515 7.9088 7.3909 Å, 90.00 119.42 90.00°
Positions (direct):
Ti 0.2377 0.2184 0.0351
Ti 0.2377 0.2816 0.5351
Ti 0.7623 0.7184 0.4649
Ti 0.7623 0.7816 0.9649
Cu 0.5000 0.0000 0.5000
Cu 0.5000 0.5000 0.0000
P 0.2503 0.5979 0.2470
P 0.2503 0.9021 0.7470
P 0.7497 0.0979 0.2530
P 0.7497 0.4021 0.7530
O 0.0584 0.7086 0.1001
O 0.0584 0.7914 0.6001
O 0.1914 0.0102 0.8855
O 0.1914 0.4898 0.3855
O 0.2755 0.1469 0.2760
O 0.2755 0.3531 0.7760
O 0.3122 0.0280 0.6209
O 0.3122 0.4720 0.1209
O 0.4438 0.7126 0.3752
O 0.4438 0.7874 0.8752
O 0.5562 0.2126 0.1248
O 0.5562 0.2874 0.6248
O 0.6878 0.5280 0.8791
O 0.6878 0.9720 0.3791
O 0.7245 0.6469 0.2240
O 0.7245 0.8531 0.7240
O 0.8086 0.5102 0.6145
O 0.8086 0.9898 0.1145
O 0.9416 0.2086 0.3999
O 0.9416 0.2914 0.8999